Structure and theoretical powder X-ray diffraction pattern of K2U3SnS8 (DFT lattice parameters and positions (PBE); a wavelength of 1.5418 Å).
Intensities are scaled so that the largest is 100.

Atomic structure:
```
14
Lattice="4.045 2.336 7.732 -4.045 2.336 7.732 0.000 -4.671 7.732" Properties=species:S:1:pos:R:3 pbc="T T T"
K 0.000 0.000 0.000
K 0.000 0.000 8.443
U 0.000 -2.361 12.355
U -2.045 1.181 12.355
U 2.045 1.181 12.355
Sn 0.000 0.000 17.488
S 0.000 -2.123 6.036
S -1.839 1.062 6.036
S 0.000 0.000 3.159
S -1.962 -1.133 10.855
S 1.839 1.062 6.036
S 0.000 0.000 13.702
S 1.962 -1.133 10.855
S 0.000 2.266 10.855
```

Peak list (6 most intense, 2θ = 5–70°, sorted by position)
two_theta  intensity
11.4  100
25.7  58
29.8  53
37.3  45
40.4  43
44.8  35

Structure and theoretical powder X-ray diffraction pattern of Tb3MoC3 (DFT lattice parameters and positions (PBE); a wavelength of 1.5418 Å).
Intensities are scaled so that the largest is 100.

Atomic structure:
```
14
Lattice="4.431 -5.290 0.000 4.431 5.290 0.000 0.000 0.000 5.195" Properties=species:S:1:pos:R:3 pbc="T T T"
Tb 4.431 4.125 3.896
Tb 2.519 1.236 3.896
Tb 2.519 -1.236 1.299
Tb 6.342 1.236 3.896
Tb 6.342 -1.236 1.299
Tb 4.431 -4.125 1.299
Mo 4.431 2.018 1.299
Mo 4.431 -2.018 3.896
C 4.431 3.984 1.299
C 2.597 1.272 1.299
C 2.597 -1.272 3.896
C 6.265 1.272 1.299
C 6.265 -1.272 3.896
C 4.431 -3.984 3.896
```

Peak list (6 most intense, 2θ = 5–70°, sorted by position)
two_theta  intensity
31.5  100
32.3  18
33.9  18
34.5  28
49.2  13
60.0  14

Structure and theoretical powder X-ray diffraction pattern of Tb6NdSn4 (DFT lattice parameters and positions (PBE); a wavelength of 1.5418 Å).
Intensities are scaled so that the largest is 100.

Atomic structure:
```
11
Lattice="-3.960 3.960 5.879 3.960 -3.960 5.879 3.960 3.960 -5.879" Properties=species:S:1:pos:R:3 pbc="T T T"
Tb 3.960 0.000 0.000
Tb 2.672 2.672 -2.059
Tb 1.288 1.288 3.820
Tb 0.000 3.960 0.000
Tb 1.288 -1.288 7.937
Tb -1.288 1.288 7.937
Nd 0.000 0.000 0.000
Sn 1.716 -1.716 4.793
Sn 2.244 2.244 1.086
Sn -1.716 1.716 4.793
Sn 1.716 1.716 6.964
```

Peak list (6 most intense, 2θ = 5–70°, sorted by position)
two_theta  intensity
25.4  69
26.3  100
32.0  80
34.5  88
34.8  58
38.1  73